Computed powder XRD pattern
Compound: Sr6CaMg
Radiation: copper Kα
Structure: a DFT-relaxed cell (PBE, Alexandria)

Largest 10 diffraction maxima, sorted by position, 2θ = 5–70°:
2θ = 22.4°, I 16, hkl 1 1 2
2θ = 26.8°, I 100, hkl 1 1 4
2θ = 29.6°, I 43, hkl 2 0 0
2θ = 33.9°, I 10, hkl 0 0 8
2θ = 39.3°, I 11, hkl 2 0 6
2θ = 42.3°, I 16, hkl 2 2 0
2θ = 45.6°, I 16, hkl 2 0 8
2θ = 48.0°, I 11, hkl 1 1 10
2θ = 50.8°, I 33, hkl 3 1 4
2θ = 69.5°, I 12, hkl 4 2 0

Cell and atoms:
```
data_Sr6CaMg
_chemical_formula_sum 'Sr12 Ca2 Mg2'
_cell_length_a 6.0446
_cell_length_b 6.0446
_cell_length_c 21.1633
_cell_angle_alpha 90.00
_cell_angle_beta 90.00
_cell_angle_gamma 90.00
_space_group_name_H-M_alt 'I 4/m m m'
_space_group_IT_number 139
_space_group_name_Hall '-I 4 2'
loop_
_atom_site_label
_atom_site_fract_x
_atom_site_fract_y
_atom_site_fract_z
_atom_site_occupancy
Sr1 0.0000 0.0000 0.2471 1
Sr2 0.0000 0.5000 0.1081 1
Ca1 0.0000 0.0000 0.0000 1
Mg1 0.0000 0.0000 0.5000 1
```

=====

Computed powder XRD pattern
Compound: Si3ICl12
Radiation: copper Kα
Structure: a DFT-relaxed cell (PBE, Alexandria)

Largest 10 diffraction maxima, sorted by position, 2θ = 5–70°:
2θ = 10.1°, I 24, hkl 0 1 2
2θ = 13.2°, I 33, hkl 1 0 4
2θ = 17.1°, I 100, hkl 1 1 3
2θ = 18.5°, I 29, hkl 2 0 2
2θ = 21.3°, I 65, hkl 1 1 6
2θ = 24.2°, I 49, hkl 1 2 2
2θ = 25.7°, I 46, hkl 2 1 4
2θ = 26.0°, I 49, hkl 1 0 10
2θ = 26.9°, I 31, hkl 3 0 0
2θ = 30.8°, I 49, hkl 0 3 6

Cell and atoms:
```
data_Si3ICl12
_chemical_formula_sum 'Si18 I6 Cl72'
_cell_length_a 11.4619
_cell_length_b 11.4619
_cell_length_c 36.5307
_cell_angle_alpha 90.00
_cell_angle_beta 90.00
_cell_angle_gamma 120.00
_space_group_name_H-M_alt 'R 3 c'
_space_group_IT_number 161
_space_group_name_Hall 'R 3 -2"c'
loop_
_atom_site_label
_atom_site_fract_x
_atom_site_fract_y
_atom_site_fract_z
_atom_site_occupancy
Si1 0.0021 0.3040 0.0000 1
I1 0.0000 0.0000 0.2553 1
Cl1 0.0094 0.2178 0.9520 1
Cl2 0.1712 0.4255 0.3250 1
Cl3 0.1751 0.4072 0.7046 1
Cl4 0.1928 0.4284 0.0183 1
```

=====

Computed powder XRD pattern
Compound: PuTl3O6
Radiation: copper Kα
Structure: a DFT-relaxed cell (PBE, Alexandria)

Largest 7 diffraction maxima, sorted by position, 2θ = 5–70°:
2θ = 17.7°, I 1, hkl 1 1 1
2θ = 20.5°, I 1, hkl 2 0 0
2θ = 29.1°, I 100, hkl 2 2 0
2θ = 41.6°, I 26, hkl 4 0 0
2θ = 51.6°, I 43, hkl 4 2 2
2θ = 60.3°, I 17, hkl 4 4 0
2θ = 68.3°, I 19, hkl 6 2 0

Cell and atoms:
```
data_PuTl3O6
_chemical_formula_sum 'Pu4 Tl12 O24'
_cell_length_a 8.6804
_cell_length_b 8.6804
_cell_length_c 8.6804
_cell_angle_alpha 90.00
_cell_angle_beta 90.00
_cell_angle_gamma 90.00
_space_group_name_H-M_alt 'F m -3 m'
_space_group_IT_number 225
_space_group_name_Hall '-F 4 2 3'
loop_
_atom_site_label
_atom_site_fract_x
_atom_site_fract_y
_atom_site_fract_z
_atom_site_occupancy
Pu1 0.0000 0.0000 0.0000 1
Tl1 0.0000 0.0000 0.5000 1
Tl2 0.2500 0.2500 0.2500 1
O1 0.0000 0.0000 0.2328 1
```

=====

Which formula does entry 3 have?
PuTl3O6

=====

Number 1 is which compound?
Sr6CaMg